Entry 1:
For MgAl8Fe4, a cell relaxed with GGA-PBE gives the calculated XRD peak list in this record (copper Kα).

Crystal structure
```
data_MgAl8Fe4
_chemical_formula_sum 'Mg2 Al16 Fe8'
_space_group_name_H-M_alt 'I 4/m m m'
_space_group_IT_number 139
_space_group_name_Hall '-I 4 2'
_cell_length_a 8.5680
_cell_length_b 8.5680
_cell_length_c 5.0687
_cell_angle_alpha 90.00
_cell_angle_beta 90.00
_cell_angle_gamma 90.00
loop_
_atom_site_label
_atom_site_fract_x
_atom_site_fract_y
_atom_site_fract_z
Mg1 0.0000 0.0000 0.0000
Al1 0.0000 0.2240 0.5000
Al2 0.0000 0.3323 0.0000
Fe1 0.2500 0.2500 0.2500
```

Largest 10 diffraction maxima, in order of rising 2θ, 5° ≤ 2θ ≤ 70°:
two_theta, I (rel.), (hkl)
20.73, 100, 2 0 0
29.49, 14, 2 2 0
36.10, 16, 3 0 1
41.39, 81, 2 0 2
41.99, 30, 3 2 1
42.19, 68, 4 0 0
46.73, 89, 2 2 2
47.46, 46, 4 2 0
60.59, 22, 4 2 2
61.19, 12, 4 4 0

=====

Entry 2:
For MgAl6Fe2, a cell relaxed with GGA-PBE gives the calculated XRD peak list in this record (copper Kα).

Crystal structure
```
data_MgAl6Fe2
_chemical_formula_sum 'Mg4 Al24 Fe8'
_space_group_name_H-M_alt 'I m m m'
_space_group_IT_number 71
_space_group_name_Hall '-I 2 2'
_cell_length_a 7.8653
_cell_length_b 8.0201
_cell_length_c 8.7092
_cell_angle_alpha 90.00
_cell_angle_beta 90.00
_cell_angle_gamma 90.00
loop_
_atom_site_label
_atom_site_fract_x
_atom_site_fract_y
_atom_site_fract_z
Mg1 0.0000 0.0000 0.0000
Mg2 0.0000 0.0000 0.5000
Al1 0.0000 0.2911 0.1689
Al2 0.1977 0.2907 0.5000
Al3 0.2158 0.0000 0.2471
Fe1 0.0000 0.5000 0.3667
Fe2 0.1673 0.5000 0.0000
```

Largest 10 diffraction maxima, in order of rising 2θ, 5° ≤ 2θ ≤ 70°:
two_theta, I (rel.), (hkl)
15.78, 100, 1 1 0
22.17, 49, 0 2 0
38.14, 44, 2 2 2
40.02, 72, 1 2 3
41.76, 67, 3 1 2
42.17, 44, 2 3 1
42.48, 82, 3 2 1
45.22, 42, 0 4 0
46.16, 57, 0 3 3
47.75, 35, 2 0 4

=====

Entry 3:
For Mg16Al12Fe, a cell relaxed with GGA-PBE gives the calculated XRD peak list in this record (copper Kα).

Crystal structure
```
data_Mg16Al12Fe
_chemical_formula_sum 'Mg48 Al36 Fe3'
_space_group_name_H-M_alt 'R 3 m'
_space_group_IT_number 160
_space_group_name_Hall 'R 3 -2"'
_cell_length_a 14.6275
_cell_length_b 14.6275
_cell_length_c 9.1975
_cell_angle_alpha 90.00
_cell_angle_beta 90.00
_cell_angle_gamma 120.00
loop_
_atom_site_label
_atom_site_fract_x
_atom_site_fract_y
_atom_site_fract_z
Mg1 0.0000 0.0000 0.0000
Mg2 0.0411 0.3586 0.3714
Mg3 0.0917 0.1834 0.4933
Mg4 0.0990 0.5495 0.5592
Mg5 0.1989 0.3978 0.1264
Al1 0.0002 0.1801 0.1918
Al2 0.1261 0.0631 0.7190
Al3 0.2047 0.4093 0.6144
Fe1 0.0000 0.0000 0.2838
```

Largest 10 diffraction maxima, in order of rising 2θ, 5° ≤ 2θ ≤ 70°:
two_theta, I (rel.), (hkl)
34.38, 31, 0 4 2
36.21, 72, 3 0 3
36.58, 70, 2 3 2
36.82, 100, 0 5 1
39.85, 22, 1 0 4
40.66, 33, 5 0 2
40.86, 35, 5 1 1
41.79, 18, 0 2 4
44.11, 23, 4 1 3
65.65, 26, 3 5 4